The following is a simulated PXRD pattern of KCaMn2. It was derived from DFT lattice parameters and positions (GGA-PBE), using copper Kα.
Kinematic intensities with the Lorentz-polarization factor, no thermal factor.

Structure:
a = 7.759 Å, b = 7.759 Å, c = 7.759 Å
α = 90.00°, β = 90.00°, γ = 90.00°
Space group Fm-3m (No. 225)
Unique sites:
K1 0.000 0.000 0.000 x4
Ca1 0.000 0.000 0.500 x4
Mn1 0.250 0.250 0.250 x8

Peak list (9 most intense, 2θ from 10° to 80°, by angle)
index, two_theta, I/Imax
2 0 0, 22.92, 3
2 2 0, 32.64, 100
2 2 2, 40.26, 1
4 0 0, 46.83, 17
4 2 0, 52.76, 1
4 2 2, 58.25, 33
4 4 0, 68.39, 10
6 0 0, 73.19, 1
6 2 0, 77.86, 13